# 1
For Dy2ErTm2Lu2Ni2S2, a cell relaxed with GGA-PBE gives the theoretical powder X-ray diffraction pattern in this record (CuKα).

Cell and atoms:
a b c (Å): 3.732 14.645 9.035
angles (deg): 90.00 90.00 90.00
Space group Imm2 (No. 44)
Unique sites:
Dy (0.000, 0.136, 0.000) x4
Er (0.000, 0.500, 0.245) x2
Tm (0.000, 0.380, 0.844) x4
Lu (0.000, 0.184, 0.636) x4
Ni (0.000, 0.259, 0.330) x4
S (0.000, 0.000, 0.498) x2
S (0.000, 0.500, 0.595) x2

Principal peaks in the range 2θ = 10–90°, low angle first:
2θ (°)  I/Imax
30.14  32.7
30.30  36.7
31.70  69.4
32.12  43.2
35.01  54.7
35.77  100.0
36.24  52.1
48.81  29.1

# 2
For DyY2Er2Lu2Ni2S2, a cell relaxed with GGA-PBE gives the theoretical powder X-ray diffraction pattern in this record (CuKα).

Cell and atoms:
a b c (Å): 3.756 14.700 9.079
angles (deg): 90.00 90.00 90.00
Space group Imm2 (No. 44)
Unique sites:
Dy (0.000, 0.000, 0.000) x2
Y (0.000, 0.364, 0.247) x4
Er (0.000, 0.121, 0.404) x4
Lu (0.000, 0.317, 0.612) x4
Ni (0.000, 0.241, 0.920) x4
S (0.000, 0.000, 0.654) x2
S (0.000, 0.500, 0.749) x2

Principal peaks in the range 2θ = 10–90°, low angle first:
2θ (°)  I/Imax
29.97  25.6
30.15  32.6
31.51  68.3
32.00  51.5
34.84  54.6
35.58  100.0
36.04  63.1
48.47  29.8